Starting from DFT lattice parameters and positions (PBE+U), the XRD peak list of V3Co5O16 was computed for λ = 1.5418 Å (Cu Kα).

Main lines, by angle (15° ≤ 2θ ≤ 90°):
2theta	I (rel.)	hkl
19.97	100	0 0 2
20.16	39	2 0 -1
20.38	65	1 1 -1
20.67	99	2 0 1
26.73	25	1 1 -2
36.81	31	3 1 -2
37.42	29	0 2 2
37.53	27	2 2 -1
37.80	76	2 2 1
47.46	35	2 2 -3
48.23	32	2 2 3
64.98	64	6 2 0

```
data_V3Co5O16
_space_group_name_H-M_alt 'C 1 m 1'
_space_group_IT_number 8
_space_group_name_Hall 'C -2y'
_cell_length_a 9.9672
_cell_length_b 5.7133
_cell_length_c 8.8964
_cell_angle_alpha 90.00
_cell_angle_beta 91.76
_cell_angle_gamma 90.00
loop_
_atom_site_label
_atom_site_type_symbol
_atom_site_fract_x
_atom_site_fract_y
_atom_site_fract_z
V1 V 0.0000 0.0000 0.0000
V2 V 0.0686 0.2480 0.4875
Co1 Co 0.2401 0.2531 0.9927
Co2 Co 0.3076 0.5000 0.7249
Co3 Co 0.3222 0.0000 0.4870
Co4 Co 0.4846 0.0000 0.2109
O1 O 0.0005 0.5000 0.6040
O2 O 0.0667 0.2531 0.0990
O3 O 0.1284 0.5000 0.3557
O4 O 0.1442 0.0000 0.3768
O5 O 0.1481 0.0000 0.8812
O6 O 0.1698 0.5000 0.8749
O7 O 0.2336 0.2611 0.5909
O8 O 0.3213 0.0000 0.0919
O9 O 0.3275 0.5000 0.0972
O10 O 0.3864 0.2854 0.8631
O11 O 0.4192 0.2149 0.3532
O12 O 0.4856 0.5000 0.5893
```